For AlCo6Ni, a structure optimized by DFT (GGA-PBE) gives the calculated XRD peak list in this record (λ = 1.5418 Å (Cu Kα)).
Kinematic intensities with the Lorentz-polarization factor, no thermal factor.

Principal peaks in the range 2θ = 15–90°, in order of rising 2θ:
15.29°, I = 2, (1 1 0); 19.77°, I = 1, (0 2 1); 23.45°, I = 1, (1 1 2); 25.09°, I = 2, (0 2 2); 26.65°, I = 1, (0 0 3); 35.78°, I = 1, (0 0 4); 44.20°, I = 100, (2 4 0); 51.49°, I = 46, (4 0 0); 58.11°, I = 1, (0 6 2); 75.81°, I = 26, (0 8 0)

Structural model:
a = 7.0956 Å, b = 10.0458 Å, c = 10.0364 Å
α = 90.00°, β = 90.00°, γ = 90.00°
Space group Cmmm (No. 65)
One atom of each set of equivalent atoms:
Al 0.0000 0.0000 0.2489 [4 per cell]
Al 0.0000 0.2476 0.0000 [4 per cell]
Co 0.0000 0.0000 0.0000 [2 per cell]
Co 0.0000 0.0000 0.5000 [2 per cell]
Co 0.0000 0.2522 0.2550 [8 per cell]
Co 0.0000 0.5000 0.0000 [2 per cell]
Co 0.0000 0.5000 0.5000 [2 per cell]
Co 0.2448 0.3764 0.1274 [16 per cell]
Co 0.2470 0.3733 0.3770 [16 per cell]
Ni 0.0000 0.2492 0.5000 [4 per cell]
Ni 0.0000 0.5000 0.2496 [4 per cell]

=====

For SrLiSi3, a structure optimized by DFT (GGA-PBE) gives the calculated XRD peak list in this record (λ = 1.5418 Å (Cu Kα)).
Kinematic intensities with the Lorentz-polarization factor, no thermal factor.

Principal peaks in the range 2θ = 15–90°, in order of rising 2θ:
23.74°, I = 17, (0 2 1); 27.18°, I = 41, (1 5 0); 31.98°, I = 100, (1 3 1); 33.10°, I = 36, (1 7 0); 35.55°, I = 21, (1 5 1); 39.24°, I = 26, (2 0 0); 44.93°, I = 31, (0 10 1); 45.88°, I = 18, (0 0 2); 57.74°, I = 14, (1 7 2); 61.15°, I = 24, (2 10 1)

Structural model:
a = 4.5924 Å, b = 23.4534 Å, c = 3.9550 Å
α = 90.00°, β = 90.00°, γ = 90.00°
Space group Cmcm (No. 63)
One atom of each set of equivalent atoms:
Sr 0.0000 0.0773 0.2500 [4 per cell]
Li 0.0000 0.2044 0.7500 [4 per cell]
Si 0.0000 0.3169 0.7500 [4 per cell]
Si 0.0000 0.3719 0.2500 [4 per cell]
Si 0.0000 0.4733 0.2500 [4 per cell]